Diffraction record for Ti6VSb2. The X-ray powder pattern is simulated, not measured: it uses a crystal structure in Alexandria, relaxed with GGA-PBE and λ = 1.5418 Å (Cu Kα).
No peak broadening, texture or thermal motion is included.

Structure:
```
Ti6VSb2
1.0
3.503 0.000 0.000
0.000 6.352 3.656
0.000 -6.352 3.656
Ti V Sb
6 1 2
Cartesian
0.000 0.000 0.000
0.000 -1.542 4.674
0.000 1.542 4.674
1.751 -3.893 3.306
1.751 0.000 2.731
1.751 3.893 3.306
1.751 0.000 5.540
0.000 -2.113 1.894
0.000 2.113 1.894
```

Peak list (10 most intense, 2θ = 10–90°, by intensity)
2θ (°)  d/Å  I (rel.)
35.46  2.531  100
38.29  2.351  73
45.87  1.978  55
24.31  3.662  53
42.81  2.113  40
37.49  2.399  26
69.72  1.349  26
42.70  2.117  20
52.23  1.751  20
29.12  3.066  18

***

Diffraction record for Li2DyBr5. The X-ray powder pattern is simulated, not measured: it uses a crystal structure in Alexandria, relaxed with GGA-PBE and λ = 1.5418 Å (Cu Kα).
No peak broadening, texture or thermal motion is included.

Structure:
```
Li2DyBr5
1.0
6.222 -4.137 0.000
6.222 4.137 0.000
-3.673 0.000 6.148
Li Dy Br
2 1 5
Cartesian
6.222 2.314 0.000
6.222 -2.314 0.000
-0.045 0.000 3.152
-2.253 0.000 4.801
1.734 0.000 5.356
7.343 1.901 2.247
10.807 0.000 0.824
7.343 -1.901 2.247
```

Peak list (10 most intense, 2θ = 10–90°, by intensity)
2θ (°)  d/Å  I (rel.)
13.54  6.541  100
16.39  5.407  67
29.02  3.077  57
15.42  5.747  55
27.16  3.283  50
33.56  2.671  31
26.55  3.358  29
38.13  2.360  28
27.27  3.271  24
36.70  2.448  22

***

Diffraction record for Cu2SnO4. The X-ray powder pattern is simulated, not measured: it uses a crystal structure in Alexandria, relaxed with GGA-PBE and λ = 1.5418 Å (Cu Kα).
No peak broadening, texture or thermal motion is included.

Structure:
```
Cu2SnO4
1.0
4.370 0.000 0.000
0.000 4.370 0.000
0.000 0.000 5.067
Cu Sn O
2 1 4
Cartesian
0.000 2.185 0.000
2.185 0.000 0.000
0.000 0.000 2.534
1.066 1.066 3.849
1.066 3.304 1.218
3.304 1.066 1.218
3.304 3.304 3.849
```

Peak list (10 most intense, 2θ = 10–90°, by intensity)
2θ (°)  d/Å  I (rel.)
33.98  2.638  100
20.32  4.370  38
26.94  3.309  37
55.53  1.655  33
70.65  1.333  22
62.68  1.482  16
41.32  2.185  16
50.02  1.823  14
59.86  1.545  13
41.18  2.192  12

***

Diffraction record for ThH6Pd7. The X-ray powder pattern is simulated, not measured: it uses a crystal structure in Alexandria, relaxed with GGA-PBE and λ = 1.5418 Å (Cu Kα).
No peak broadening, texture or thermal motion is included.

Structure:
```
ThH6Pd7
1.0
2.585 1.493 7.295
-2.585 1.493 7.295
0.000 -2.985 7.295
Th H Pd
1 6 7
Cartesian
0.000 0.000 0.000
-1.650 0.003 9.163
-0.839 -1.522 12.719
0.822 -1.431 9.163
-0.898 1.487 12.719
0.828 1.427 9.163
1.737 0.034 12.719
-0.897 -1.498 9.716
-1.712 0.021 12.163
-0.849 1.526 9.716
0.838 -1.493 12.163
0.000 0.000 14.569
1.746 -0.028 9.716
0.874 1.473 12.163
```

Peak list (10 most intense, 2θ = 10–90°, by intensity)
2θ (°)  d/Å  I (rel.)
36.91  2.435  100
42.88  2.109  50
74.59  1.272  28
62.31  1.490  17
62.19  1.493  16
20.24  4.387  13
21.44  4.144  11
74.71  1.271  9
78.51  1.218  8
25.71  3.465  8

***

Diffraction record for Al4Ag5. The X-ray powder pattern is simulated, not measured: it uses a crystal structure in Alexandria, relaxed with GGA-PBE and λ = 1.5418 Å (Cu Kα).
No peak broadening, texture or thermal motion is included.

Structure:
```
Al4Ag5
1.0
-4.520 4.520 1.869
4.520 -4.520 1.869
4.520 4.520 -1.869
Al Ag
4 5
Cartesian
1.487 1.487 0.000
3.032 -3.032 1.869
-3.032 3.032 1.869
3.032 3.032 1.869
4.520 1.587 0.000
1.587 4.520 0.000
0.000 0.000 1.869
2.932 0.000 1.869
0.000 2.932 1.869
```

Peak list (10 most intense, 2θ = 10–90°, by intensity)
2θ (°)  d/Å  I (rel.)
38.37  2.346  100
42.43  2.131  37
74.91  1.268  25
25.79  3.454  21
66.56  1.405  18
19.64  4.520  14
31.29  2.858  12
48.72  1.869  12
61.56  1.507  11
82.18  1.173  10

***

Diffraction record for Nd2Sm6Er3. The X-ray powder pattern is simulated, not measured: it uses a crystal structure in Alexandria, relaxed with GGA-PBE and λ = 1.5418 Å (Cu Kα).
No peak broadening, texture or thermal motion is included.

Structure:
```
Nd2Sm6Er3
1.0
3.092 -5.363 0.000
3.092 5.363 0.000
-2.088 0.000 11.580
Nd Sm Er
2 6 3
Cartesian
3.092 3.577 0.000
3.092 -3.577 0.000
-0.017 1.785 8.647
1.025 0.000 2.931
-0.017 -1.785 8.647
4.114 1.785 2.934
3.072 0.000 8.650
4.114 -1.785 2.934
-1.044 0.000 5.790
2.049 1.777 5.790
2.049 -1.777 5.790
```

Peak list (10 most intense, 2θ = 10–90°, by intensity)
2θ (°)  d/Å  I (rel.)
30.67  2.915  100
35.63  2.520  67
30.89  2.895  32
51.13  1.787  24
60.89  1.521  24
51.41  1.777  23
63.87  1.457  12
60.77  1.524  10
61.01  1.519  9
61.15  1.516  9

***

Diffraction record for Ta2OsI2. The X-ray powder pattern is simulated, not measured: it uses a crystal structure in Alexandria, relaxed with GGA-PBE and λ = 1.5418 Å (Cu Kα).
No peak broadening, texture or thermal motion is included.

Structure:
```
Ta2OsI2
1.0
7.833 0.000 0.000
0.000 7.833 0.000
0.000 0.000 3.250
Ta Os I
4 2 4
Cartesian
1.203 2.714 0.000
2.714 6.631 0.000
5.119 1.203 0.000
6.631 5.119 0.000
0.000 0.000 1.625
3.917 3.917 1.625
1.170 5.087 1.625
2.746 1.170 1.625
5.087 6.663 1.625
6.663 2.746 1.625
```

Peak list (10 most intense, 2θ = 10–90°, by intensity)
2θ (°)  d/Å  I (rel.)
37.75  2.383  100
36.26  2.477  70
70.99  1.328  23
69.13  1.359  22
31.92  2.803  16
35.90  2.501  15
56.07  1.640  14
56.63  1.625  11
32.32  2.770  11
52.22  1.752  11

***

Diffraction record for LaDy3Tl3. The X-ray powder pattern is simulated, not measured: it uses a crystal structure in Alexandria, relaxed with GGA-PBE and λ = 1.5418 Å (Cu Kα).
No peak broadening, texture or thermal motion is included.

Structure:
```
LaDy3Tl3
1.0
9.569 0.000 0.000
-4.785 8.287 0.000
0.000 0.000 5.259
La Dy Tl
2 6 6
Cartesian
0.000 5.525 1.315
4.785 2.762 3.944
-1.088 1.928 3.944
-2.571 8.265 3.944
1.126 1.906 1.315
3.659 6.381 3.944
7.355 0.022 1.315
5.872 6.359 1.315
-2.306 5.168 3.944
1.462 3.706 3.944
3.941 0.587 1.315
0.844 7.700 3.944
3.323 4.581 1.315
7.091 3.119 1.315
```

Peak list (10 most intense, 2θ = 10–90°, by intensity)
2θ (°)  d/Å  I (rel.)
33.29  2.691  100
34.10  2.630  24
28.50  3.132  22
60.52  1.530  18
62.31  1.490  14
50.47  1.808  13
45.01  2.014  13
47.81  1.902  8
27.40  3.255  7
61.81  1.501  7

***

Diffraction record for CuB2C8N8. The X-ray powder pattern is simulated, not measured: it uses a crystal structure in Alexandria, relaxed with GGA-PBE and λ = 1.5418 Å (Cu Kα).
No peak broadening, texture or thermal motion is included.

Structure:
```
CuB2C8N8
1.0
6.723 -3.667 0.000
6.723 3.667 0.000
-0.344 0.000 6.303
Cu B C N
1 2 8 8
Cartesian
0.000 0.000 0.000
4.294 0.000 4.213
8.808 0.000 2.090
4.988 1.294 4.826
2.755 0.000 4.588
4.469 0.000 2.638
8.114 1.294 1.477
4.988 -1.294 4.826
8.634 0.000 3.665
10.348 0.000 1.715
8.114 -1.294 1.477
5.494 2.241 5.261
1.619 0.000 4.843
7.608 2.241 1.042
4.584 0.000 1.478
8.518 0.000 4.825
5.494 -2.241 5.261
11.483 0.000 1.460
7.608 -2.241 1.042
```

Peak list (10 most intense, 2θ = 10–90°, by intensity)
2θ (°)  d/Å  I (rel.)
19.97  4.446  100
31.54  2.836  62
18.78  4.725  62
23.28  3.820  59
14.05  6.303  39
13.76  6.436  36
29.46  3.032  35
24.27  3.667  28
13.19  6.713  25
19.45  4.563  23

***

Diffraction record for HoMg6Cd6. The X-ray powder pattern is simulated, not measured: it uses a crystal structure in Alexandria, relaxed with GGA-PBE and λ = 1.5418 Å (Cu Kα).
No peak broadening, texture or thermal motion is included.

Structure:
```
HoMg6Cd6
1.0
-2.942 4.974 5.008
2.942 -4.974 5.008
2.942 4.974 -5.008
Ho Mg Cd
1 6 6
Cartesian
0.000 0.000 0.000
2.942 0.000 2.076
0.000 0.000 3.495
0.000 3.483 0.000
0.000 6.465 0.000
0.000 0.000 6.520
0.000 4.974 2.931
1.471 2.487 -2.504
1.471 -2.487 2.504
2.942 2.110 0.000
-1.471 2.487 2.504
1.471 2.487 2.504
0.000 2.864 5.008
```

Peak list (10 most intense, 2θ = 10–90°, by intensity)
2θ (°)  d/Å  I (rel.)
35.85  2.505  100
35.40  2.536  93
25.07  3.553  49
39.89  2.260  46
17.83  4.974  45
12.54  7.058  32
36.12  2.487  30
51.46  1.776  27
25.24  3.529  27
40.33  2.236  19